# 1
# Tb6IrO12
Theoretical powder X-ray diffraction pattern, CuKα. Input: a GGA-PBE-relaxed structure.
No peak broadening, texture or thermal motion is included.

Top 10 peaks for 10° ≤ 2θ ≤ 80°, in order of rising 2θ:
hkl  2θ/deg  d_spacing  I_rel
0 0 3  28.4  3.147  31
2 1 1  29.2  3.058  100
3 -2 2  33.6  2.667  46
2 1 4  47.7  1.906  27
1 4 0  48.8  1.866  27
3 -2 5  56.4  1.630  11
1 4 3  57.4  1.605  24
6 -4 1  57.9  1.593  13
4 2 2  60.6  1.529  11
3 5 1  79.0  1.212  9

Structural model:
```
data_Tb6IrO12
_chemical_formula_sum 'Tb18 Ir3 O36'
_space_group_name_H-M_alt 'R -3'
_space_group_IT_number 148
_space_group_name_Hall '-R 3'
_cell_length_a 9.8756
_cell_length_b 9.8756
_cell_length_c 9.4405
_cell_angle_alpha 90.00
_cell_angle_beta 90.00
_cell_angle_gamma 120.00
loop_
_atom_site_label
_atom_site_type_symbol
_atom_site_fract_x
_atom_site_fract_y
_atom_site_fract_z
Tb1 Tb 0.0430 0.2550 0.1437
Ir1 Ir 0.0000 0.0000 0.5000
O1 O 0.0337 0.2239 0.9014
O2 O 0.0404 0.1864 0.3893
```


# 2
# SiN3F7
Theoretical powder X-ray diffraction pattern, CuKα. Input: a GGA-PBE-relaxed structure.
No peak broadening, texture or thermal motion is included.

Top 10 peaks for 10° ≤ 2θ ≤ 80°, in order of rising 2θ:
hkl  2θ/deg  d_spacing  I_rel
1 1 0  14.6  6.066  100
2 0 0  20.7  4.288  35
1 1 1  25.5  3.497  22
2 2 0  29.5  3.032  37
3 1 0  33.0  2.713  22
3 2 0  37.8  2.379  18
4 1 0  43.5  2.081  13
2 1 2  48.7  1.869  29
4 4 0  61.1  1.516  14
4 2 2  65.3  1.429  12

Structural model:
```
data_SiN3F7
_chemical_formula_sum 'Si2 N6 F14'
_space_group_name_H-M_alt 'P 4/m b m'
_space_group_IT_number 127
_space_group_name_Hall '-P 4 2ab'
_cell_length_a 8.5788
_cell_length_b 8.5788
_cell_length_c 4.2797
_cell_angle_alpha 90.00
_cell_angle_beta 90.00
_cell_angle_gamma 90.00
loop_
_atom_site_label
_atom_site_type_symbol
_atom_site_fract_x
_atom_site_fract_y
_atom_site_fract_z
Si1 Si 0.0000 0.5000 0.0000
N1 N 0.0000 0.0000 0.0000
N2 N 0.1838 0.3162 0.5000
F1 F 0.0000 0.0000 0.5000
F2 F 0.1027 0.6027 0.2536
F3 F 0.1520 0.3480 0.0000
```


- Which formula does entry 1 have?
  Tb6IrO12